The following is a computed powder XRD pattern of ThCoP2Ru2. It was derived from a DFT-relaxed cell (GGA-PBE, Alexandria), using Cu Kα X-rays.
Lines closer than 0.1° are merged.

Largest 6 diffraction maxima, in order of rising 2θ, 10° ≤ 2θ ≤ 90°:
3.345 Å, I = 28, hkl 1 0 1; 3.060 Å, I = 89, hkl 1 1 0; 2.647 Å, I = 35, hkl 1 1 1; 2.252 Å, I = 100, hkl 1 0 2; 2.164 Å, I = 56, hkl 2 0 0; 1.560 Å, I = 63, hkl 2 1 2

Atomic structure:
```
ThCoP2Ru2
1.0
4.3278 0.0000 0.0000
0.0000 4.3278 0.0000
0.0000 0.0000 5.2735
Th Co P Ru
1 1 2 2
Direct
0.0000 0.0000 0.0000
0.0000 0.0000 0.5000
0.0000 0.5000 0.5000
0.5000 0.0000 0.5000
0.5000 0.5000 0.2438
0.5000 0.5000 0.7562
```